Starting from DFT lattice parameters and positions (GGA+U), the powder diffraction line list of V3H4O8 was simulated for CuKα.
Neutral-atom scattering factors, no anomalous dispersion.

```
V3H4O8
1.0
8.737 -1.953 0.000
8.737 1.953 0.000
-0.902 0.000 5.900
V H O
3 4 8
Cartesian
0.000 0.000 0.000
10.424 0.000 1.545
13.973 0.000 0.896
0.467 0.000 3.781
9.449 0.000 3.896
11.717 0.000 4.372
13.295 0.000 3.982
-0.438 0.000 4.167
1.245 0.000 1.429
8.986 0.000 0.288
10.318 0.000 3.450
12.010 0.000 0.867
12.645 0.000 4.756
14.070 0.000 2.554
15.695 0.000 0.353
```

Main lines, low angle first (2θ = 15–90°):
2θ/deg	I_rel
15.02	985
20.57	275
23.35	1000
23.62	463
28.30	404
34.66	277